# 1
# SbS4N4Cl5
Calculated X-ray powder pattern, a wavelength of 1.5418 Å. Input: a PBE-relaxed structure.
Peak positions follow from Bragg's law for the DFT cell and can differ from measured ones.

Largest 10 diffraction maxima, low angle first, 2θ = 10–80°:
two_theta  I_rel
13.45  64
14.33  100
14.74  20
18.53  14
20.72  16
23.50  23
24.00  30
29.75  15
31.45  14
36.51  14

Atomic structure:
Cell lengths 7.3630, 13.0820, 15.9716 Å; angles 90.00, 107.34, 90.00 degrees
Fractional positions:
Sb: 0.1699 0.2142 0.0981
Sb: 0.1699 0.2858 0.5981
Sb: 0.8301 0.7142 0.4019
Sb: 0.8301 0.7858 0.9019
S: 0.1529 0.5117 0.7037
S: 0.1529 0.9883 0.2037
S: 0.2915 0.5875 0.1872
S: 0.2915 0.9125 0.6872
S: 0.3705 0.0690 0.3788
S: 0.3705 0.4310 0.8788
S: 0.4686 0.0067 0.1415
S: 0.4686 0.4933 0.6415
S: 0.5314 0.5067 0.3585
S: 0.5314 0.9933 0.8585
S: 0.6295 0.5690 0.1212
S: 0.6295 0.9310 0.6212
S: 0.7085 0.0875 0.3128
S: 0.7085 0.4125 0.8128
S: 0.8471 0.0117 0.7963
S: 0.8471 0.4883 0.2963
N: 0.2191 0.0077 0.3069
N: 0.2191 0.4923 0.8069
N: 0.2734 0.0611 0.1533
N: 0.2734 0.4389 0.6533
N: 0.3490 0.5322 0.2780
N: 0.3490 0.9678 0.7780
N: 0.4503 0.6173 0.1425
N: 0.4503 0.8827 0.6425
N: 0.5497 0.1173 0.3575
N: 0.5497 0.3827 0.8575
N: 0.6510 0.0322 0.2220
N: 0.6510 0.4678 0.7220
N: 0.7266 0.5611 0.3467
N: 0.7266 0.9389 0.8467
N: 0.7809 0.5077 0.1931
N: 0.7809 0.9923 0.6931
Cl: 0.0566 0.1231 0.5359
Cl: 0.0566 0.3769 0.0359
Cl: 0.0956 0.2478 0.7324
Cl: 0.0956 0.2522 0.2324
Cl: 0.1386 0.6370 0.4603
Cl: 0.1386 0.8630 0.9603
Cl: 0.2562 0.1637 0.9697
Cl: 0.2562 0.3363 0.4697
Cl: 0.4886 0.2200 0.6611
Cl: 0.4886 0.2799 0.1611
Cl: 0.5114 0.7200 0.8389
Cl: 0.5114 0.7800 0.3389
Cl: 0.7438 0.6637 0.5303
Cl: 0.7438 0.8363 0.0303
Cl: 0.8614 0.1370 0.0397
Cl: 0.8614 0.3630 0.5397
Cl: 0.9044 0.7478 0.7676
Cl: 0.9044 0.7522 0.2676
Cl: 0.9434 0.6231 0.9641
Cl: 0.9434 0.8769 0.4641

# 2
# Sr6Nb7O21
Calculated X-ray powder pattern, a wavelength of 1.5418 Å. Input: a PBE-relaxed structure.
Peak positions follow from Bragg's law for the DFT cell and can differ from measured ones.

Largest 10 diffraction maxima, low angle first, 2θ = 10–80°:
two_theta  I_rel
11.63  3
14.23  2
21.83  9
31.07  100
38.30  1
44.51  36
50.11  3
55.28  39
64.78  21
73.58  17

Atomic structure:
Cell lengths 9.0988, 9.0988, 9.0988 Å; angles 113.56, 113.56, 113.56 degrees
Fractional positions:
Sr: 0.0678 0.7847 0.6424
Sr: 0.2153 0.3576 0.9322
Sr: 0.3576 0.9322 0.2153
Sr: 0.6424 0.0678 0.7847
Sr: 0.7847 0.6424 0.0678
Sr: 0.9322 0.2153 0.3576
Nb: 0.0000 0.0000 0.0000
Nb: 0.1449 0.5690 0.2867
Nb: 0.2867 0.1449 0.5690
Nb: 0.4310 0.7133 0.8551
Nb: 0.5690 0.2867 0.1449
Nb: 0.7133 0.8551 0.4310
Nb: 0.8551 0.4310 0.7133
O: 0.0000 0.0000 0.5000
O: 0.0000 0.5000 0.0000
O: 0.0605 0.2801 0.1335
O: 0.1335 0.0605 0.2801
O: 0.1431 0.5718 0.7856
O: 0.2144 0.8569 0.4282
O: 0.2801 0.1335 0.0605
O: 0.2802 0.6462 0.5732
O: 0.3538 0.4268 0.7198
O: 0.4268 0.7198 0.3538
O: 0.4282 0.2144 0.8569
O: 0.5000 0.0000 0.0000
O: 0.5718 0.7856 0.1431
O: 0.5732 0.2802 0.6462
O: 0.6462 0.5732 0.2802
O: 0.7198 0.3538 0.4268
O: 0.7199 0.8665 0.9395
O: 0.7856 0.1431 0.5718
O: 0.8569 0.4282 0.2144
O: 0.8665 0.9395 0.7199
O: 0.9395 0.7199 0.8665

# 3
# SrNi2P2
Calculated X-ray powder pattern, a wavelength of 1.5418 Å. Input: a PBE-relaxed structure.
Peak positions follow from Bragg's law for the DFT cell and can differ from measured ones.

Largest 10 diffraction maxima, low angle first, 2θ = 10–80°:
two_theta  I_rel
16.80  15
24.06  17
33.98  21
34.13  61
36.40  100
45.95  47
58.37  15
58.47  22
62.39  26
78.73  16

Atomic structure:
Cell lengths 8.1752, 8.1752, 8.1752 Å; angles 152.04, 99.61, 87.13 degrees
Fractional positions:
Sr: 0.0000 0.0000 0.0000
Sr: 0.3165 0.3165 0.0000
Sr: 0.6835 0.6835 0.0000
Ni: 0.1041 0.8434 0.2608
Ni: 0.2707 0.5000 0.7707
Ni: 0.4174 0.1566 0.2608
Ni: 0.5826 0.8434 0.7392
Ni: 0.7293 0.5000 0.2293
Ni: 0.8959 0.1566 0.7392
P: 0.0052 0.6644 0.3408
P: 0.3236 0.6644 0.6592
P: 0.3811 0.0000 0.3811
P: 0.6189 0.0000 0.6189
P: 0.6764 0.3356 0.3408
P: 0.9948 0.3356 0.6592

# 4
# EuCl2
Calculated X-ray powder pattern, a wavelength of 1.5418 Å. Input: a PBE-relaxed structure.
Peak positions follow from Bragg's law for the DFT cell and can differ from measured ones.

Largest 10 diffraction maxima, low angle first, 2θ = 10–80°:
two_theta  I_rel
18.68  100
24.08  69
26.53  15
36.13  88
37.87  25
42.54  17
45.20  20
45.38  35
56.86  15
60.54  15

Atomic structure:
Cell lengths 6.7195, 6.7195, 4.4254 Å; angles 90.00, 90.00, 90.00 degrees
Fractional positions:
Eu: 0.0000 0.0000 0.0000
Eu: 0.5000 0.5000 0.5000
Cl: 0.1961 0.1961 0.5000
Cl: 0.3039 0.6961 0.0000
Cl: 0.6961 0.3039 0.0000
Cl: 0.8039 0.8039 0.5000

# 5
# Gd2SO2
Calculated X-ray powder pattern, a wavelength of 1.5418 Å. Input: a PBE-relaxed structure.
Peak positions follow from Bragg's law for the DFT cell and can differ from measured ones.

Largest 10 diffraction maxima, low angle first, 2θ = 10–80°:
two_theta  I_rel
26.62  42
29.82  100
38.00  30
46.97  31
49.05  25
54.81  24
56.64  17
61.96  15
70.26  9
76.59  19

Atomic structure:
Cell lengths 3.8687, 3.8687, 6.6950 Å; angles 90.00, 90.00, 120.00 degrees
Fractional positions:
Gd: 0.3333 0.6667 0.2814
Gd: 0.6667 0.3333 0.7186
S: 0.0000 0.0000 0.0000
O: 0.3333 0.6667 0.6302
O: 0.6667 0.3333 0.3698

# 6
# MgTiSnO3
Calculated X-ray powder pattern, a wavelength of 1.5418 Å. Input: a PBE-relaxed structure.
Peak positions follow from Bragg's law for the DFT cell and can differ from measured ones.

Largest 10 diffraction maxima, low angle first, 2θ = 10–80°:
two_theta  I_rel
22.37  34
27.72  100
31.85  70
32.66  63
35.91  31
45.66  47
46.26  50
54.26  33
57.26  46
76.13  19

Atomic structure:
Cell lengths 3.9739, 3.9739, 5.4841 Å; angles 90.00, 90.00, 90.00 degrees
Fractional positions:
Mg: 0.0000 0.0000 0.0000
Ti: 0.5000 0.5000 0.0000
Sn: 0.0000 0.0000 0.5000
O: 0.0000 0.5000 0.0000
O: 0.5000 0.0000 0.0000
O: 0.5000 0.5000 0.5000